# 1
This entry pairs a crystal structure of Li2AcAs2 with its simulated powder diffractogram. Radiation: a wavelength of 1.5418 Å. Structure: a crystal structure in Alexandria, relaxed with PBE.
Intensities are scaled so that the largest is 100.

```
Li2AcAs2
1.0
4.5023 0.0000 0.0000
0.0000 4.5023 0.0000
0.0000 0.0000 10.3004
Li Ac As
4 2 4
Direct
0.2500 0.2500 0.1146 Li
0.2500 0.7500 0.5000 Li
0.7500 0.2500 0.5000 Li
0.7500 0.7500 0.8854 Li
0.2500 0.2500 0.7623 Ac
0.7500 0.7500 0.2377 Ac
0.2500 0.2500 0.3574 As
0.2500 0.7500 0.0000 As
0.7500 0.2500 0.0000 As
0.7500 0.7500 0.6426 As
```

The 8 most intense peaks (2θ = 10–90°), most intense first:
2.708 Å, rel. 100.0; 4.125 Å, rel. 68.2; 2.730 Å, rel. 65.1; 2.251 Å, rel. 44.1; 3.184 Å, rel. 36.9; 1.737 Å, rel. 34.9; 1.874 Å, rel. 34.7; 5.150 Å, rel. 26.5

=====

# 2
This entry pairs a crystal structure of LiAc3As3 with its simulated powder diffractogram. Radiation: a wavelength of 1.5418 Å. Structure: a crystal structure in Alexandria, relaxed with PBE.
Intensities are scaled so that the largest is 100.

```
LiAc3As3
1.0
9.7115 -3.2664 0.0000
9.7115 3.2664 0.0000
0.0000 0.0000 12.9265
Li Ac As
4 12 12
Direct
0.0803 0.0803 0.0000 Li
0.4197 0.4197 0.5000 Li
0.5803 0.5803 0.5000 Li
0.9197 0.9197 0.0000 Li
0.0490 0.6059 0.3691 Ac
0.1059 0.5490 0.8691 Ac
0.1996 0.8004 0.6410 Ac
0.3004 0.6996 0.1410 Ac
0.3941 0.9510 0.3691 Ac
0.4510 0.8941 0.8691 Ac
0.5490 0.1059 0.1309 Ac
0.6059 0.0490 0.6309 Ac
0.6996 0.3004 0.8590 Ac
0.8004 0.1996 0.3590 Ac
0.8941 0.4510 0.1309 Ac
0.9510 0.3941 0.6309 Ac
0.0650 0.6084 0.1203 As
0.1084 0.5650 0.6203 As
0.2200 0.7800 0.8857 As
0.2800 0.7200 0.3857 As
0.3916 0.9350 0.1203 As
0.4350 0.8916 0.6203 As
0.5650 0.1084 0.3797 As
0.6084 0.0650 0.8797 As
0.7200 0.2800 0.6143 As
0.7800 0.2200 0.1143 As
0.8916 0.4350 0.3797 As
0.9350 0.3916 0.8797 As
```

The 8 most intense peaks (2θ = 10–90°), most intense first:
3.234 Å, rel. 100.0; 2.298 Å, rel. 68.5; 3.747 Å, rel. 60.6; 3.266 Å, rel. 43.7; 2.287 Å, rel. 37.9; 1.873 Å, rel. 36.1; 1.952 Å, rel. 19.1; 1.447 Å, rel. 15.6

=====

# 3
This entry pairs a crystal structure of LiAcAsN2 with its simulated powder diffractogram. Radiation: a wavelength of 1.5418 Å. Structure: a crystal structure in Alexandria, relaxed with PBE.
Intensities are scaled so that the largest is 100.

```
LiAcAsN2
1.0
5.9792 0.0000 0.0000
0.0000 4.2108 0.0000
-1.1465 0.0000 6.4282
Li Ac As N
2 2 2 4
Direct
0.0000 0.0170 0.2500 Li
0.0000 0.9830 0.7500 Li
0.5000 0.2551 0.7500 Ac
0.5000 0.7449 0.2500 Ac
0.0000 0.5000 0.0000 As
0.0000 0.5000 0.5000 As
0.2625 0.2064 0.0528 N
0.2625 0.7936 0.5528 N
0.7375 0.2064 0.4472 N
0.7375 0.7936 0.9472 N
```

The 8 most intense peaks (2θ = 10–90°), most intense first:
3.522 Å, rel. 100.0; 2.902 Å, rel. 83.7; 3.056 Å, rel. 75.7; 5.886 Å, rel. 69.8; 3.159 Å, rel. 64.4; 2.943 Å, rel. 54.3; 1.908 Å, rel. 47.6; 1.982 Å, rel. 43.7

=====

# 4
This entry pairs a crystal structure of Li2AcAsO6 with its simulated powder diffractogram. Radiation: a wavelength of 1.5418 Å. Structure: a crystal structure in Alexandria, relaxed with PBE.
Intensities are scaled so that the largest is 100.

```
Li2AcAsO6
1.0
5.2384 -4.9494 0.0000
5.2384 4.9494 0.0000
-3.8110 0.0000 5.6651
Li Ac As O
4 2 2 12
Direct
0.0926 0.2083 0.0899 Li
0.2083 0.0926 0.5899 Li
0.7917 0.9074 0.4101 Li
0.9074 0.7917 0.9101 Li
0.3238 0.6762 0.7500 Ac
0.6762 0.3238 0.2500 Ac
0.3372 0.6628 0.2500 As
0.6628 0.3372 0.7500 As
0.0046 0.1699 0.3365 O
0.1500 0.6607 0.9967 O
0.1699 0.0046 0.8365 O
0.3206 0.4362 0.2787 O
0.3393 0.8500 0.5033 O
0.4362 0.3206 0.7787 O
0.5638 0.6794 0.2213 O
0.6607 0.1500 0.4967 O
0.6794 0.5638 0.7213 O
0.8301 0.9954 0.1635 O
0.8500 0.3393 0.0033 O
0.9954 0.8301 0.6635 O
```

The 8 most intense peaks (2θ = 10–90°), most intense first:
4.346 Å, rel. 100.0; 6.532 Å, rel. 78.2; 3.085 Å, rel. 63.9; 3.392 Å, rel. 46.0; 5.596 Å, rel. 45.3; 2.176 Å, rel. 34.8; 2.238 Å, rel. 31.5; 2.329 Å, rel. 30.5

=====

# 5
This entry pairs a crystal structure of Li4AcAs3O12 with its simulated powder diffractogram. Radiation: a wavelength of 1.5418 Å. Structure: a crystal structure in Alexandria, relaxed with PBE.
Intensities are scaled so that the largest is 100.

```
Li4AcAs3O12
1.0
-3.7814 3.7814 3.7814
3.7814 -3.7814 3.7814
3.7814 3.7814 -3.7814
Li Ac As O
4 1 3 12
Direct
0.0000 0.0000 0.5000 Li
0.0000 0.5000 0.0000 Li
0.5000 0.0000 0.0000 Li
0.5000 0.5000 0.5000 Li
0.0000 0.0000 0.0000 Ac
0.0000 0.5000 0.5000 As
0.5000 0.0000 0.5000 As
0.5000 0.5000 0.0000 As
0.1603 0.3296 0.4899 O
0.1603 0.6704 0.8307 O
0.1693 0.8397 0.3296 O
0.3296 0.1693 0.8397 O
0.3296 0.4899 0.1603 O
0.4899 0.1603 0.3296 O
0.5101 0.8397 0.6704 O
0.6704 0.5101 0.8397 O
0.6704 0.8307 0.1603 O
0.8307 0.1603 0.6704 O
0.8397 0.3296 0.1693 O
0.8397 0.6704 0.5101 O
```

The 8 most intense peaks (2θ = 10–90°), most intense first:
3.781 Å, rel. 100.0; 2.674 Å, rel. 77.3; 1.544 Å, rel. 42.9; 2.183 Å, rel. 36.7; 5.348 Å, rel. 36.5; 1.691 Å, rel. 33.6; 2.392 Å, rel. 25.9; 2.021 Å, rel. 25.7

=====

# 6
This entry pairs a crystal structure of LiAcPmAs with its simulated powder diffractogram. Radiation: a wavelength of 1.5418 Å. Structure: a crystal structure in Alexandria, relaxed with PBE.
Intensities are scaled so that the largest is 100.

```
LiAcPmAs
1.0
0.0000 3.7756 3.7756
3.7756 0.0000 3.7756
3.7756 3.7756 0.0000
Li Ac Pm As
1 1 1 1
Direct
0.0000 0.0000 0.0000 Li
0.7500 0.7500 0.7500 Ac
0.2500 0.2500 0.2500 Pm
0.5000 0.5000 0.5000 As
```

The 8 most intense peaks (2θ = 10–90°), most intense first:
2.670 Å, rel. 100.0; 3.776 Å, rel. 48.4; 1.541 Å, rel. 38.2; 1.688 Å, rel. 21.0; 1.888 Å, rel. 18.3; 1.194 Å, rel. 16.7; 2.180 Å, rel. 15.1; 1.335 Å, rel. 11.8